(1)
For NdSm2HoS4, a PBE-relaxed structure gives the theoretical powder diffractogram in this record (Cu Ka).

Atomic structure:
a b c (Å): 6.917 3.954 6.970
angles (deg): 90.00 108.98 90.00
Fractional positions:
Nd1 0.000 0.000 0.000
Sm1 0.500 0.000 0.500
Sm2 0.500 0.500 0.000
Ho1 0.000 0.500 0.500
S1 0.243 0.000 0.740
S2 0.249 0.500 0.258
S3 0.751 0.500 0.742
S4 0.757 0.000 0.260

Largest 10 diffraction maxima, low angle first, 5° ≤ 2θ ≤ 70°:
d_spacing, two_theta, I (rel.)
3.296, 27.06, 20
3.271, 27.27, 20
3.240, 27.53, 38
2.824, 31.68, 100
2.017, 44.95, 12
2.003, 45.27, 24
1.992, 45.54, 24
1.977, 45.90, 12
1.620, 56.83, 12
1.412, 66.17, 12


(2)
For Hf2ZrTe4, a PBE-relaxed structure gives the theoretical powder diffractogram in this record (Cu Ka).

Atomic structure:
a b c (Å): 7.891 7.891 8.076
angles (deg): 104.40 104.40 118.50
Fractional positions:
Hf1 0.121 0.879 0.500
Hf2 0.422 0.688 0.021
Hf3 0.688 0.422 0.521
Hf4 0.879 0.121 0.000
Zr1 0.101 0.855 0.923
Zr2 0.855 0.101 0.423
Te1 0.088 0.594 0.147
Te2 0.130 0.576 0.632
Te3 0.165 0.202 0.809
Te4 0.202 0.165 0.309
Te5 0.576 0.130 0.132
Te6 0.594 0.088 0.647
Te7 0.656 0.668 0.810
Te8 0.668 0.656 0.310

Largest 10 diffraction maxima, low angle first, 5° ≤ 2θ ≤ 70°:
d_spacing, two_theta, I (rel.)
4.890, 18.14, 47
3.469, 25.68, 26
3.129, 28.53, 95
3.096, 28.84, 41
2.457, 36.57, 18
2.444, 36.77, 100
2.429, 37.01, 59
2.045, 44.29, 25
2.018, 44.92, 54
1.564, 59.06, 26


(3)
For Er5AgIr2, a PBE-relaxed structure gives the theoretical powder diffractogram in this record (Cu Ka).

Atomic structure:
a b c (Å): 8.560 8.560 8.560
angles (deg): 126.79 126.79 78.59
Fractional positions:
Er1 0.000 0.000 0.000
Er2 0.023 0.523 0.818
Er3 0.205 0.023 0.500
Er4 0.295 0.795 0.818
Er5 0.477 0.295 0.500
Er6 0.500 0.500 0.000
Er7 0.523 0.705 0.500
Er8 0.705 0.205 0.182
Er9 0.795 0.977 0.500
Er10 0.977 0.477 0.182
Ag1 0.250 0.250 0.000
Ag2 0.750 0.750 0.000
Ir1 0.142 0.358 0.500
Ir2 0.358 0.858 0.217
Ir3 0.642 0.142 0.783
Ir4 0.858 0.642 0.500

Largest 10 diffraction maxima, low angle first, 5° ≤ 2θ ≤ 70°:
d_spacing, two_theta, I (rel.)
6.624, 13.37, 23
2.826, 31.66, 10
2.708, 33.07, 100
2.506, 35.83, 16
2.424, 37.08, 48
2.097, 43.14, 25
1.916, 47.45, 9
1.714, 53.46, 17
1.368, 68.61, 18
1.355, 69.35, 21


(4)
For GaSnIrS2, a PBE-relaxed structure gives the theoretical powder diffractogram in this record (Cu Ka).

Atomic structure:
a b c (Å): 3.874 5.057 5.933
angles (deg): 110.30 93.02 100.55
Fractional positions:
Ga1 0.000 0.000 0.000
Sn1 0.648 0.175 0.468
Ir1 0.201 0.445 0.353
S1 0.436 0.866 0.727
S2 0.749 0.657 0.197

Largest 10 diffraction maxima, low angle first, 5° ≤ 2θ ≤ 70°:
d_spacing, two_theta, I (rel.)
5.520, 16.06, 99
4.632, 19.16, 19
4.427, 20.06, 41
3.319, 26.86, 25
3.040, 29.38, 100
2.736, 32.73, 31
2.286, 39.41, 50
2.064, 43.86, 24
1.898, 47.93, 18
1.809, 50.46, 19


(5)
For HfAg2I, a PBE-relaxed structure gives the theoretical powder diffractogram in this record (Cu Ka).

Atomic structure:
a b c (Å): 3.503 7.360 7.795
angles (deg): 87.34 87.38 76.96
Fractional positions:
Hf1 0.000 0.000 0.000
Hf2 0.343 0.342 0.904
Ag1 0.231 0.642 0.602
Ag2 0.514 0.016 0.677
Ag3 0.680 0.684 0.877
Ag4 0.880 0.326 0.604
I1 0.531 0.861 0.287
I2 0.819 0.333 0.207

Largest 10 diffraction maxima, low angle first, 5° ≤ 2θ ≤ 70°:
d_spacing, two_theta, I (rel.)
7.782, 11.37, 77
2.685, 33.37, 70
2.656, 33.74, 37
2.612, 34.33, 28
2.591, 34.61, 100
2.388, 37.66, 47
2.341, 38.46, 57
2.311, 38.98, 46
2.278, 39.55, 38
1.749, 52.29, 28


(6)
For HfSc2CrS6, a PBE-relaxed structure gives the theoretical powder diffractogram in this record (Cu Ka).

Atomic structure:
a b c (Å): 6.900 6.900 6.900
angles (deg): 54.83 54.83 54.83
Fractional positions:
Hf1 0.000 0.000 0.000
Sc1 0.188 0.188 0.188
Sc2 0.687 0.687 0.687
Cr1 0.500 0.500 0.500
S1 0.104 0.401 0.772
S2 0.274 0.893 0.603
S3 0.401 0.772 0.104
S4 0.603 0.274 0.893
S5 0.772 0.104 0.401
S6 0.893 0.603 0.274

Largest 10 diffraction maxima, low angle first, 5° ≤ 2θ ≤ 70°:
d_spacing, two_theta, I (rel.)
5.250, 16.89, 44
4.661, 19.04, 95
3.428, 25.99, 63
3.177, 28.09, 48
2.791, 32.07, 61
2.330, 38.64, 33
2.151, 42.01, 100
1.879, 48.44, 28
1.834, 49.70, 48
1.396, 67.06, 23


(7)
For NpZnInCu, a PBE-relaxed structure gives the theoretical powder diffractogram in this record (Cu Ka).

Atomic structure:
a b c (Å): 6.791 6.791 6.791
angles (deg): 90.00 90.00 90.00
Fractional positions:
Np1 0.000 0.000 0.000
Np2 0.000 0.500 0.500
Np3 0.500 0.000 0.500
Np4 0.500 0.500 0.000
Zn1 0.250 0.250 0.250
Zn2 0.250 0.750 0.750
Zn3 0.750 0.250 0.750
Zn4 0.750 0.750 0.250
In1 0.000 0.000 0.500
In2 0.000 0.500 0.000
In3 0.500 0.000 0.000
In4 0.500 0.500 0.500
Cu1 0.250 0.250 0.750
Cu2 0.250 0.750 0.250
Cu3 0.750 0.250 0.250
Cu4 0.750 0.750 0.750

Largest 9 diffraction maxima, low angle first, 5° ≤ 2θ ≤ 70°:
d_spacing, two_theta, I (rel.)
3.921, 22.68, 12
3.396, 26.24, 22
2.401, 37.45, 100
2.048, 44.23, 7
1.961, 46.31, 7
1.698, 54.01, 17
1.558, 59.31, 3
1.519, 61.01, 9
1.386, 67.57, 35


(8)
For Ni7MoH6, a PBE-relaxed structure gives the theoretical powder diffractogram in this record (Cu Ka).

Atomic structure:
a b c (Å): 6.897 6.897 6.897
angles (deg): 37.96 37.96 37.96
Fractional positions:
Ni1 0.000 0.000 0.000
Ni2 0.111 0.774 0.451
Ni3 0.225 0.551 0.883
Ni4 0.451 0.111 0.774
Ni5 0.551 0.883 0.225
Ni6 0.774 0.451 0.111
Ni7 0.883 0.225 0.551
Mo1 0.666 0.666 0.666
H1 0.080 0.382 0.729
H2 0.253 0.955 0.597
H3 0.382 0.729 0.080
H4 0.597 0.253 0.955
H5 0.729 0.080 0.382
H6 0.955 0.597 0.253

Largest 10 diffraction maxima, low angle first, 5° ≤ 2θ ≤ 70°:
d_spacing, two_theta, I (rel.)
6.392, 13.85, 3
3.808, 23.36, 13
3.601, 24.72, 11
3.018, 29.60, 7
2.729, 32.81, 5
2.240, 40.27, 3
2.131, 42.42, 34
2.117, 42.72, 100
2.040, 44.41, 2
1.836, 49.65, 66


(9)
For TiVH2, a PBE-relaxed structure gives the theoretical powder diffractogram in this record (Cu Ka).

Atomic structure:
a b c (Å): 4.611 4.611 6.575
angles (deg): 90.00 90.00 90.00
Fractional positions:
Ti1 0.000 0.000 0.000
Ti2 0.000 0.500 0.250
Ti3 0.500 0.000 0.750
Ti4 0.500 0.500 0.500
V1 0.000 0.000 0.500
V2 0.000 0.500 0.750
V3 0.500 0.000 0.250
V4 0.500 0.500 0.000
H1 0.233 0.250 0.625
H2 0.250 0.733 0.875
H3 0.250 0.767 0.375
H4 0.267 0.250 0.125
H5 0.733 0.750 0.125
H6 0.750 0.233 0.375
H7 0.750 0.267 0.875
H8 0.767 0.750 0.625

Largest 4 diffraction maxima, low angle first, 5° ≤ 2θ ≤ 70°:
d_spacing, two_theta, I (rel.)
2.315, 38.91, 100
2.305, 39.07, 47
1.644, 55.94, 8
1.630, 56.45, 16


(10)
For LiMnAu2, a PBE-relaxed structure gives the theoretical powder diffractogram in this record (Cu Ka).

Atomic structure:
a b c (Å): 6.425 6.425 6.425
angles (deg): 90.00 90.00 90.00
Fractional positions:
Li1 0.000 0.000 0.000
Li2 0.000 0.500 0.500
Li3 0.500 0.000 0.500
Li4 0.500 0.500 0.000
Mn1 0.250 0.250 0.250
Mn2 0.250 0.750 0.750
Mn3 0.750 0.250 0.750
Mn4 0.750 0.750 0.250
Au1 0.000 0.000 0.500
Au2 0.000 0.500 0.000
Au3 0.250 0.250 0.750
Au4 0.250 0.750 0.250
Au5 0.500 0.000 0.000
Au6 0.500 0.500 0.500
Au7 0.750 0.250 0.250
Au8 0.750 0.750 0.750

Largest 6 diffraction maxima, low angle first, 5° ≤ 2θ ≤ 70°:
d_spacing, two_theta, I (rel.)
3.709, 23.99, 65
3.212, 27.77, 2
2.272, 39.68, 100
1.937, 46.90, 35
1.606, 57.37, 17
1.474, 63.07, 15


(11)
For Tm2InTe4, a PBE-relaxed structure gives the theoretical powder diffractogram in this record (Cu Ka).

Atomic structure:
a b c (Å): 16.219 4.309 7.650
angles (deg): 90.00 115.27 90.00
Fractional positions:
Tm1 0.240 0.000 0.220
Tm2 0.260 0.500 0.780
Tm3 0.740 0.500 0.220
Tm4 0.760 0.000 0.780
In1 0.000 0.500 0.500
In2 0.500 0.000 0.500
Te1 0.123 0.500 0.958
Te2 0.141 0.000 0.484
Te3 0.359 0.500 0.516
Te4 0.377 0.000 0.042
Te5 0.623 0.000 0.958
Te6 0.641 0.500 0.484
Te7 0.859 0.000 0.516
Te8 0.877 0.500 0.042

Largest 10 diffraction maxima, low angle first, 5° ≤ 2θ ≤ 70°:
d_spacing, two_theta, I (rel.)
7.333, 12.07, 56
3.375, 26.41, 100
3.322, 26.84, 55
2.713, 33.01, 23
2.655, 33.75, 83
2.592, 34.61, 55
2.582, 34.74, 37
2.193, 41.17, 72
2.155, 41.93, 36
2.026, 44.73, 29


(12)
For LaTb2Pr6Y, a PBE-relaxed structure gives the theoretical powder diffractogram in this record (Cu Ka).

Atomic structure:
a b c (Å): 9.037 9.037 9.877
angles (deg): 93.97 93.97 117.58
Fractional positions:
La1 0.027 0.973 0.750
La2 0.973 0.027 0.250
Tb1 0.200 0.298 0.547
Tb2 0.298 0.200 0.047
Tb3 0.702 0.800 0.953
Tb4 0.800 0.702 0.453
Pr1 0.012 0.562 0.684
Pr2 0.115 0.754 0.055
Pr3 0.246 0.885 0.445
Pr4 0.296 0.510 0.881
Pr5 0.438 0.988 0.816
Pr6 0.490 0.704 0.619
Pr7 0.510 0.296 0.381
Pr8 0.562 0.012 0.184
Pr9 0.704 0.490 0.119
Pr10 0.754 0.115 0.555
Pr11 0.885 0.246 0.945
Pr12 0.988 0.438 0.316
Y1 0.409 0.591 0.250
Y2 0.591 0.409 0.750

Largest 10 diffraction maxima, low angle first, 5° ≤ 2θ ≤ 70°:
d_spacing, two_theta, I (rel.)
3.276, 27.22, 18
3.212, 27.77, 43
3.009, 29.69, 98
2.930, 30.51, 100
2.911, 30.71, 37
2.843, 31.47, 28
2.744, 32.63, 13
2.728, 32.83, 40
2.490, 36.06, 14
1.608, 57.30, 15


Repeat the eighth record exactly.
For Ni7MoH6, a PBE-relaxed structure gives the theoretical powder diffractogram in this record (Cu Ka).

Atomic structure:
a b c (Å): 6.897 6.897 6.897
angles (deg): 37.96 37.96 37.96
Fractional positions:
Ni1 0.000 0.000 0.000
Ni2 0.111 0.774 0.451
Ni3 0.225 0.551 0.883
Ni4 0.451 0.111 0.774
Ni5 0.551 0.883 0.225
Ni6 0.774 0.451 0.111
Ni7 0.883 0.225 0.551
Mo1 0.666 0.666 0.666
H1 0.080 0.382 0.729
H2 0.253 0.955 0.597
H3 0.382 0.729 0.080
H4 0.597 0.253 0.955
H5 0.729 0.080 0.382
H6 0.955 0.597 0.253

Largest 10 diffraction maxima, low angle first, 5° ≤ 2θ ≤ 70°:
d_spacing, two_theta, I (rel.)
6.392, 13.85, 3
3.808, 23.36, 13
3.601, 24.72, 11
3.018, 29.60, 7
2.729, 32.81, 5
2.240, 40.27, 3
2.131, 42.42, 34
2.117, 42.72, 100
2.040, 44.41, 2
1.836, 49.65, 66


What did the fourth record say?
For GaSnIrS2, a PBE-relaxed structure gives the theoretical powder diffractogram in this record (Cu Ka).

Atomic structure:
a b c (Å): 3.874 5.057 5.933
angles (deg): 110.30 93.02 100.55
Fractional positions:
Ga1 0.000 0.000 0.000
Sn1 0.648 0.175 0.468
Ir1 0.201 0.445 0.353
S1 0.436 0.866 0.727
S2 0.749 0.657 0.197

Largest 10 diffraction maxima, low angle first, 5° ≤ 2θ ≤ 70°:
d_spacing, two_theta, I (rel.)
5.520, 16.06, 99
4.632, 19.16, 19
4.427, 20.06, 41
3.319, 26.86, 25
3.040, 29.38, 100
2.736, 32.73, 31
2.286, 39.41, 50
2.064, 43.86, 24
1.898, 47.93, 18
1.809, 50.46, 19


> Number 3 is which compound?

Er5AgIr2